Calculated XRD peak list of ZrUB4 for CuKα, from DFT lattice parameters and positions (PBE).

Crystal structure
a b c (Å): 6.1658 6.1658 6.1658
angles (deg): 147.32 147.32 46.89
Atoms (fractional coordinates):
Zr: 0.0000 0.0000 0.0000
U: 0.7500 0.2500 0.5000
B: 0.1671 0.6671 0.5000
B: 0.3329 0.8329 0.5000
B: 0.4208 0.4208 0.0000
B: 0.5792 0.5792 0.0000

Largest 10 diffraction maxima, by intensity, 10 to 80 degrees two-theta:
2theta, I/Imax
26.88, 100.0
40.06, 78.8
35.15, 59.8
31.63, 30.6
48.00, 28.5
15.67, 28.4
60.21, 23.2
65.00, 20.9
52.78, 19.0
62.85, 18.0